No. 1
# Na2Mn2FeP3O12
Theoretical PXRD pattern, λ = 1.5418 Å (Cu Kα). Input: the PBE+U geometry in the Materials Project.
No peak broadening, texture or thermal motion is included.

Structure:
Unit cell a=12.1417 b=12.7642 c=6.6091 alpha=90.00 beta=114.33 gamma=90.00
Space group C2 (No. 5)
Symmetry-distinct sites (fractional):
Na1 0.0000 0.0000 0.0000 x2
Na2 0.0000 0.0384 0.5000 x2
Na3 0.0001 0.5173 0.2491 x4
Mn1 0.0000 0.2857 0.0000 x2
Mn2 0.0000 0.7456 0.5000 x2
Mn3 0.2207 0.1714 0.8903 x4
Fe1 0.2222 0.8583 0.3849 x4
P1 0.0000 0.3038 0.5000 x2
P2 0.0000 0.7322 0.0000 x2
P3 0.2349 0.9088 0.8772 x4
P4 0.2366 0.1252 0.3775 x4
O1 0.0385 0.2343 0.7101 x4
O2 0.0488 0.8058 0.2129 x4
O3 0.0939 0.6600 0.9755 x4
O4 0.1014 0.3796 0.5014 x4
O5 0.1291 0.6142 0.5785 x4
O6 0.1304 0.4211 0.0742 x4
O7 0.1579 0.1768 0.1506 x4
O8 0.1643 0.0122 0.8534 x4
O9 0.1688 0.8490 0.6472 x4
O10 0.1783 0.0143 0.3741 x4
O11 0.2235 0.8449 0.0695 x4
O12 0.2279 0.1955 0.5645 x4

Peak list (8 most intense, 10° ≤ 2θ ≤ 80°, sorted by position)
| d/Å | I/Imax |
| --- | --- |
| 6.382 | 41 |
| 5.532 | 14 |
| 3.543 | 16 |
| 3.164 | 27 |
| 2.939 | 23 |
| 2.765 | 100 |
| 2.590 | 45 |
| 2.149 | 19 |

No. 2
# MnNb4FeO12
Theoretical PXRD pattern, λ = 1.5418 Å (Cu Kα). Input: the PBE+U geometry in the Materials Project.
No peak broadening, texture or thermal motion is included.

Structure:
Unit cell a=5.1357 b=14.5573 c=5.8784 alpha=90.00 beta=90.00 gamma=90.00
Space group P2_12_12 (No. 18)
Symmetry-distinct sites (fractional):
Mn1 0.0000 0.0000 0.0779 x2
Nb1 0.0052 0.1620 0.5697 x4
Nb2 0.0066 0.3378 0.0693 x4
Fe1 0.0000 0.5000 0.5790 x2
O1 0.1524 0.4198 0.8675 x4
O2 0.1562 0.0812 0.3704 x4
O3 0.1655 0.7454 0.3768 x4
O4 0.1652 0.7554 0.8767 x4
O5 0.1834 0.4024 0.3519 x4
O6 0.1853 0.0993 0.8528 x4

Peak list (8 most intense, 10° ≤ 2θ ≤ 80°, sorted by position)
| d/Å | I/Imax |
| --- | --- |
| 3.741 | 33 |
| 3.024 | 100 |
| 2.568 | 13 |
| 2.551 | 14 |
| 1.817 | 14 |
| 1.764 | 17 |
| 1.758 | 22 |
| 1.557 | 14 |

No. 3
# Mn3Nb2Fe3O16
Theoretical PXRD pattern, λ = 1.5418 Å (Cu Kα). Input: the PBE+U geometry in the Materials Project.
No peak broadening, texture or thermal motion is included.

Structure:
Unit cell a=10.3216 b=5.9077 c=9.3422 alpha=90.00 beta=91.27 gamma=90.00
Space group Cm (No. 8)
Symmetry-distinct sites (fractional):
Mn1 0.0000 0.0000 0.0000 x2
Mn2 0.0854 0.2530 0.5012 x4
Nb1 0.0045 0.5000 0.2148 x2
Nb2 0.3400 0.5000 0.7175 x2
Fe1 0.2525 0.2519 0.0016 x4
Fe2 0.3377 0.0000 0.5004 x2
O1 0.0044 0.0000 0.6094 x2
O2 0.0104 0.5000 0.6053 x2
O3 0.0831 0.2503 0.1155 x4
O4 0.1502 0.5000 0.3861 x2
O5 0.1635 0.0000 0.9053 x2
O6 0.1650 0.0000 0.4049 x2
O7 0.1939 0.5000 0.8705 x2
O8 0.2543 0.2538 0.6146 x4
O9 0.3387 0.0000 0.1193 x2
O10 0.3437 0.5000 0.1065 x2
O11 0.4176 0.2863 0.8766 x4
O12 0.4378 0.2216 0.3788 x4

Peak list (8 most intense, 10° ≤ 2θ ≤ 80°, sorted by position)
| d/Å | I/Imax |
| --- | --- |
| 4.670 | 52 |
| 4.559 | 33 |
| 4.515 | 69 |
| 4.474 | 100 |
| 2.498 | 45 |
| 2.477 | 38 |
| 1.967 | 32 |
| 1.486 | 37 |

No. 4
# MnNb8Fe3O24
Theoretical PXRD pattern, λ = 1.5418 Å (Cu Kα). Input: the PBE+U geometry in the Materials Project.
No peak broadening, texture or thermal motion is included.

Structure:
Unit cell a=5.1326 b=5.8802 c=14.5305 alpha=90.00 beta=90.12 gamma=90.00
Space group P2 (No. 3)
Symmetry-distinct sites (fractional):
Mn1 0.0000 0.0000 0.0000 x1
Nb1 0.0025 0.4911 0.8382 x2
Nb2 0.0027 0.9920 0.6607 x2
Nb3 0.4958 0.8540 0.1623 x2
Nb4 0.4984 0.3536 0.3397 x2
Fe1 0.0000 0.5091 0.5000 x1
Fe2 0.5000 0.3426 0.0000 x1
Fe3 0.5000 0.8383 0.5000 x1
O1 0.1539 0.7915 0.5806 x2
O2 0.1553 0.2931 0.9193 x2
O3 0.1673 0.7996 0.2447 x2
O4 0.1692 0.2993 0.2559 x2
O5 0.1789 0.2754 0.5974 x2
O6 0.1838 0.7739 0.9010 x2
O7 0.3169 0.5706 0.0972 x2
O8 0.3212 0.0663 0.4029 x2
O9 0.3324 0.0460 0.7441 x2
O10 0.3332 0.5445 0.7541 x2
O11 0.3413 0.5536 0.4200 x2
O12 0.3498 0.0563 0.0808 x2

Peak list (8 most intense, 10° ≤ 2θ ≤ 80°, sorted by position)
| d/Å | I/Imax |
| --- | --- |
| 3.738 | 34 |
| 3.022 | 100 |
| 2.566 | 13 |
| 2.551 | 14 |
| 1.817 | 14 |
| 1.758 | 19 |
| 1.490 | 12 |
| 1.483 | 13 |

No. 5
# Nd2MnFeO6
Theoretical PXRD pattern, λ = 1.5418 Å (Cu Kα). Input: the PBE+U geometry in the Materials Project.
No peak broadening, texture or thermal motion is included.

Structure:
Unit cell a=5.4889 b=5.8139 c=9.4679 alpha=90.00 beta=125.16 gamma=90.00
Space group P2_1/c (No. 14)
Symmetry-distinct sites (fractional):
Nd1 0.2348 0.0650 0.2502 x4
Mn1 0.5000 0.0000 0.0000 x2
Fe1 0.0000 0.0000 0.5000 x2
O1 0.1572 0.1964 0.9527 x4
O2 0.2374 0.6857 0.9487 x4
O3 0.3478 0.0261 0.7541 x4

Peak list (8 most intense, 10° ≤ 2θ ≤ 80°, sorted by position)
| d/Å | I/Imax |
| --- | --- |
| 3.547 | 40 |
| 2.907 | 40 |
| 2.783 | 100 |
| 2.774 | 96 |
| 2.744 | 49 |
| 1.996 | 40 |
| 1.935 | 42 |
| 1.778 | 36 |

No. 6
# MnFeNiO4
Theoretical PXRD pattern, λ = 1.5418 Å (Cu Kα). Input: the PBE+U geometry in the Materials Project.
No peak broadening, texture or thermal motion is included.

Structure:
Unit cell a=6.0640 b=6.1426 c=8.2528 alpha=90.00 beta=90.00 gamma=90.00
Space group Imma (No. 74)
Symmetry-distinct sites (fractional):
Mn1 0.0000 0.0000 0.0000 x4
Fe1 0.0000 0.2500 0.3677 x4
Ni1 0.2500 0.2500 0.7500 x4
O1 0.0000 0.0114 0.7647 x8
O2 0.2408 0.2500 0.0006 x8

Peak list (8 most intense, 10° ≤ 2θ ≤ 80°, sorted by position)
| d/Å | I/Imax |
| --- | --- |
| 2.982 | 47 |
| 2.600 | 85 |
| 2.582 | 100 |
| 2.508 | 81 |
| 2.158 | 40 |
| 1.662 | 28 |
| 1.654 | 22 |
| 1.491 | 77 |

No. 7
# Mn2Fe3NiP6O24
Theoretical PXRD pattern, λ = 1.5418 Å (Cu Kα). Input: the PBE+U geometry in the Materials Project.
No peak broadening, texture or thermal motion is included.

Structure:
Unit cell a=8.6787 b=8.6787 c=20.9012 alpha=90.00 beta=90.00 gamma=120.00
Space group R3 (No. 146, hexagonal axes)
Symmetry-distinct sites (fractional):
Mn1 0.0000 0.0000 0.0000 x3
Mn2 0.0000 0.0000 0.4994 x3
Fe1 0.0000 0.0000 0.3536 x3
Fe2 0.0000 0.0000 0.6453 x3
Fe3 0.0000 0.0000 0.8538 x3
Ni1 0.0000 0.0000 0.1425 x3
P1 0.0000 0.2954 0.2490 x9
P2 0.0002 0.7042 0.7493 x9
O1 0.0066 0.2004 0.3093 x9
O2 0.0084 0.8066 0.8098 x9
O3 0.0160 0.1814 0.9240 x9
O4 0.0161 0.8342 0.4237 x9
O5 0.1323 0.4622 0.8542 x9
O6 0.1405 0.6755 0.3554 x9
O7 0.1663 0.4870 0.2424 x9
O8 0.1672 0.6831 0.7404 x9

Peak list (8 most intense, 10° ≤ 2θ ≤ 80°, sorted by position)
| d/Å | I/Imax |
| --- | --- |
| 4.339 | 85 |
| 3.683 | 100 |
| 2.716 | 73 |
| 2.505 | 41 |
| 1.923 | 29 |
| 1.842 | 29 |
| 1.640 | 24 |
| 1.484 | 21 |

No. 8
# Mn3FeNi2P6O24
Theoretical PXRD pattern, λ = 1.5418 Å (Cu Kα). Input: the PBE+U geometry in the Materials Project.
No peak broadening, texture or thermal motion is included.

Structure:
Unit cell a=8.5639 b=8.5639 c=20.5128 alpha=90.00 beta=90.00 gamma=120.00
Space group R3 (No. 146, hexagonal axes)
Symmetry-distinct sites (fractional):
Mn1 0.0000 0.0000 0.0000 x3
Mn2 0.0000 0.0000 0.2166 x3
Mn3 0.0000 0.0000 0.5001 x3
Fe1 0.0000 0.0000 0.7151 x3
Ni1 0.0000 0.0000 0.3588 x3
Ni2 0.0000 0.0000 0.8572 x3
P1 0.0001 0.2951 0.6072 x9
P2 0.0426 0.6673 0.7757 x9
O1 0.9998 0.1990 0.5445 x9
O2 0.0014 0.1998 0.6694 x9
O3 0.0034 0.8105 0.1713 x9
O4 0.0171 0.1782 0.2816 x9
O5 0.0179 0.8339 0.7843 x9
O6 0.1380 0.6684 0.7126 x9
O7 0.1676 0.4884 0.5992 x9
O8 0.1715 0.6894 0.1005 x9

Peak list (8 most intense, 10° ≤ 2θ ≤ 80°, sorted by position)
| d/Å | I/Imax |
| --- | --- |
| 4.282 | 96 |
| 3.629 | 100 |
| 2.672 | 71 |
| 2.472 | 42 |
| 1.892 | 37 |
| 1.815 | 27 |
| 1.618 | 26 |
| 1.463 | 21 |